[1]
For NiWO4, the PBE+U geometry in the Materials Project gives the theoretical PXRD pattern in this record (Cu Kα, 1.54184 Å).
Lines closer than 0.1° are merged.

Largest 12 diffraction maxima, sorted by position, 2θ from 15° to 90°:
18.99°, d 4.674, rel. 49
23.53°, d 3.781, rel. 50
24.56°, d 3.624, rel. 60
30.29°, d 2.951, rel. 100
30.52°, d 2.929, rel. 98
35.72°, d 2.513, rel. 33
36.04°, d 2.492, rel. 43
38.52°, d 2.337, rel. 20
51.62°, d 1.771, rel. 30
53.62°, d 1.709, rel. 23
53.89°, d 1.701, rel. 41
64.50°, d 1.445, rel. 28

Atomic structure:
```
NiWO4
1.0
4.6742 0.0000 0.0000
0.0000 5.7394 0.0000
-0.0517 0.0000 5.0267
Ni W O
2 2 8
Direct
0.0000 0.1555 0.2500 Ni
0.0000 0.8445 0.7500 Ni
0.5000 0.3260 0.7500 W
0.5000 0.6740 0.2500 W
0.2409 0.1230 0.5971 O
0.2409 0.8770 0.0971 O
0.2806 0.3907 0.0698 O
0.2806 0.6093 0.5698 O
0.7194 0.3907 0.4302 O
0.7194 0.6093 0.9302 O
0.7591 0.1230 0.9029 O
0.7591 0.8770 0.4029 O
```


[2]
For YNiW2O8, the PBE+U geometry in the Materials Project gives the theoretical PXRD pattern in this record (Cu Kα, 1.54184 Å).
Lines closer than 0.1° are merged.

Largest 12 diffraction maxima, sorted by position, 2θ from 15° to 90°:
17.59°, d 5.041, rel. 35
22.82°, d 3.896, rel. 28
22.95°, d 3.876, rel. 51
28.44°, d 3.138, rel. 96
29.48°, d 3.030, rel. 100
34.45°, d 2.603, rel. 37
35.29°, d 2.543, rel. 27
35.62°, d 2.521, rel. 19
48.54°, d 1.875, rel. 26
49.72°, d 1.834, rel. 34
51.04°, d 1.789, rel. 21
60.83°, d 1.523, rel. 21

Atomic structure:
```
YNiW2O8
1.0
5.0921 0.0000 0.0000
0.0000 6.0615 0.0000
-4.6149 0.0000 10.0824
Y Ni W O
2 2 4 16
Direct
0.0000 0.1631 0.2500 Y
0.0000 0.8369 0.7500 Y
0.5000 0.2227 0.7500 Ni
0.5000 0.7773 0.2500 Ni
0.2369 0.3334 0.9878 W
0.2369 0.6666 0.4878 W
0.7631 0.3334 0.5122 W
0.7631 0.6666 0.0122 W
0.1607 0.4115 0.6091 O
0.1607 0.5885 0.1091 O
0.2146 0.1394 0.1094 O
0.2146 0.8606 0.6094 O
0.2670 0.1438 0.8637 O
0.2670 0.8562 0.3637 O
0.3408 0.3859 0.4040 O
0.3408 0.6141 0.9040 O
0.6592 0.3859 0.0960 O
0.6592 0.6141 0.5960 O
0.7330 0.1438 0.6363 O
0.7330 0.8562 0.1363 O
0.7854 0.1394 0.3906 O
0.7854 0.8606 0.8906 O
0.8393 0.4115 0.8909 O
0.8393 0.5885 0.3909 O
```


[3]
For Zn2NiWO6, the PBE+U geometry in the Materials Project gives the theoretical PXRD pattern in this record (Cu Kα, 1.54184 Å).
Lines closer than 0.1° are merged.

Largest 12 diffraction maxima, sorted by position, 2θ from 15° to 90°:
20.36°, d 4.361, rel. 58
23.94°, d 3.717, rel. 24
33.22°, d 2.697, rel. 99
33.57°, d 2.670, rel. 100
34.06°, d 2.632, rel. 47
34.16°, d 2.625, rel. 47
46.86°, d 1.939, rel. 26
49.01°, d 1.859, rel. 42
59.19°, d 1.561, rel. 23
60.38°, d 1.533, rel. 43
60.65°, d 1.527, rel. 20
61.00°, d 1.519, rel. 24

Atomic structure:
```
Zn2NiWO6
1.0
5.2502 0.0000 0.0000
0.0000 5.2648 0.0000
-5.1374 0.0000 7.7545
Zn Ni W O
4 2 2 12
Direct
0.2331 0.0309 0.2429 Zn
0.2331 0.4691 0.7429 Zn
0.7669 0.5309 0.2571 Zn
0.7669 0.9691 0.7571 Zn
0.0000 0.0000 0.5000 Ni
0.0000 0.5000 0.0000 Ni
0.5000 0.0000 0.0000 W
0.5000 0.5000 0.5000 W
0.1455 0.0844 0.7619 O
0.1455 0.4156 0.2619 O
0.2363 0.6695 0.5550 O
0.2363 0.8305 0.0550 O
0.4201 0.1860 0.5768 O
0.4201 0.3140 0.0768 O
0.5799 0.6860 0.9232 O
0.5799 0.8140 0.4232 O
0.7637 0.1695 0.9450 O
0.7637 0.3305 0.4450 O
0.8545 0.5844 0.7381 O
0.8545 0.9156 0.2381 O
```


[4]
For Zn2NiWO6, the PBE+U geometry in the Materials Project gives the theoretical PXRD pattern in this record (Cu Kα, 1.54184 Å).
Lines closer than 0.1° are merged.

Largest 12 diffraction maxima, sorted by position, 2θ from 15° to 90°:
17.63°, d 5.031, rel. 100
18.25°, d 4.862, rel. 32
19.87°, d 4.468, rel. 33
21.56°, d 4.121, rel. 37
23.98°, d 3.711, rel. 66
30.15°, d 2.964, rel. 23
30.98°, d 2.887, rel. 45
31.56°, d 2.835, rel. 55
33.61°, d 2.666, rel. 35
34.16°, d 2.625, rel. 41
35.22°, d 2.548, rel. 34
36.57°, d 2.457, rel. 25

Atomic structure:
```
Zn2NiWO6
1.0
5.4034 0.0000 0.0000
1.3305 5.2770 0.0000
2.0016 2.1205 5.0229
Zn Ni W O
2 1 1 6
Direct
0.0000 0.0000 0.0000 Zn
0.4982 0.5071 0.0577 Zn
0.2779 0.7917 0.5104 Ni
0.9014 0.3952 0.3771 W
0.0195 0.6734 0.4070 O
0.2441 0.1988 0.3107 O
0.2541 0.7547 0.8621 O
0.5894 0.6481 0.2912 O
0.7661 0.1643 0.7113 O
0.8412 0.2947 0.1088 O
```


[5]
For YNi2O4, the PBE+U geometry in the Materials Project gives the theoretical PXRD pattern in this record (Cu Kα, 1.54184 Å).
Lines closer than 0.1° are merged.

Largest 12 diffraction maxima, sorted by position, 2θ from 15° to 90°:
28.68°, d 3.113, rel. 30
28.85°, d 3.094, rel. 29
33.82°, d 2.650, rel. 100
34.00°, d 2.637, rel. 36
35.35°, d 2.539, rel. 10
41.13°, d 2.195, rel. 12
54.19°, d 1.693, rel. 17
54.29°, d 1.690, rel. 25
54.44°, d 1.685, rel. 10
59.39°, d 1.556, rel. 28
59.77°, d 1.547, rel. 27
84.61°, d 1.145, rel. 12

Atomic structure:
```
YNi2O4
1.0
3.1127 1.7971 5.0386
-3.1127 1.7971 5.0386
0.0000 -3.5942 5.0386
Y Ni O
2 4 8
Direct
0.1209 0.1209 0.1209 Y
0.8791 0.8791 0.8791 Y
0.0000 0.5000 0.5000 Ni
0.5000 0.0000 0.5000 Ni
0.5000 0.5000 0.0000 Ni
0.5000 0.5000 0.5000 Ni
0.2615 0.2615 0.2615 O
0.2642 0.2642 0.6980 O
0.2642 0.6980 0.2642 O
0.3020 0.7358 0.7358 O
0.6980 0.2642 0.2642 O
0.7358 0.3020 0.7358 O
0.7358 0.7358 0.3020 O
0.7385 0.7385 0.7385 O
```


[6]
For YNi2O4, the PBE+U geometry in the Materials Project gives the theoretical PXRD pattern in this record (Cu Kα, 1.54184 Å).
Lines closer than 0.1° are merged.

Largest 12 diffraction maxima, sorted by position, 2θ from 15° to 90°:
28.77°, d 3.104, rel. 43
33.87°, d 2.647, rel. 100
35.42°, d 2.534, rel. 9
41.13°, d 2.195, rel. 9
50.97°, d 1.792, rel. 15
54.30°, d 1.689, rel. 40
59.58°, d 1.552, rel. 41
67.48°, d 1.388, rel. 6
70.33°, d 1.339, rel. 11
82.18°, d 1.173, rel. 8
84.84°, d 1.143, rel. 18
89.27°, d 1.097, rel. 6

Atomic structure:
```
YNi2O4
1.0
0.0000 4.3890 4.3890
4.3890 0.0000 4.3890
4.3890 4.3890 0.0000
Y Ni O
2 4 8
Direct
0.1250 0.1250 0.1250 Y
0.8750 0.8750 0.8750 Y
0.0000 0.5000 0.5000 Ni
0.5000 0.0000 0.5000 Ni
0.5000 0.5000 0.0000 Ni
0.5000 0.5000 0.5000 Ni
0.2665 0.2665 0.2665 O
0.2665 0.2665 0.7005 O
0.2665 0.7005 0.2665 O
0.2995 0.7335 0.7335 O
0.7005 0.2665 0.2665 O
0.7335 0.2995 0.7335 O
0.7335 0.7335 0.2995 O
0.7335 0.7335 0.7335 O
```


[7]
For Y2Ni2O7, the PBE+U geometry in the Materials Project gives the theoretical PXRD pattern in this record (Cu Kα, 1.54184 Å).
Lines closer than 0.1° are merged.

Largest 12 diffraction maxima, sorted by position, 2θ from 15° to 90°:
15.54°, d 5.702, rel. 2
31.38°, d 2.851, rel. 100
36.39°, d 2.469, rel. 24
39.79°, d 2.266, rel. 7
47.86°, d 1.901, rel. 2
52.41°, d 1.746, rel. 49
62.37°, d 1.489, rel. 39
65.48°, d 1.425, rel. 8
77.29°, d 1.234, rel. 7
79.43°, d 1.206, rel. 1
85.77°, d 1.133, rel. 15
88.57°, d 1.104, rel. 12

Atomic structure:
```
Y2Ni2O7
1.0
0.0000 4.9378 4.9378
4.9378 0.0000 4.9378
4.9378 4.9378 0.0000
Y Ni O
4 4 14
Direct
0.0000 0.0000 0.0000 Y
0.0000 0.0000 0.5000 Y
0.0000 0.5000 0.0000 Y
0.5000 0.0000 0.0000 Y
0.0000 0.5000 0.5000 Ni
0.5000 0.0000 0.5000 Ni
0.5000 0.5000 0.0000 Ni
0.5000 0.5000 0.5000 Ni
0.1250 0.1250 0.1250 O
0.1709 0.1709 0.5791 O
0.1709 0.5791 0.1709 O
0.1709 0.5791 0.5791 O
0.4209 0.4209 0.8291 O
0.4209 0.8291 0.4209 O
0.4209 0.8291 0.8291 O
0.5791 0.1709 0.1709 O
0.5791 0.1709 0.5791 O
0.5791 0.5791 0.1709 O
0.8291 0.4209 0.4209 O
0.8291 0.4209 0.8291 O
0.8291 0.8291 0.4209 O
0.8750 0.8750 0.8750 O
```


[8]
For YNiO3, the PBE+U geometry in the Materials Project gives the theoretical PXRD pattern in this record (Cu Kα, 1.54184 Å).
Lines closer than 0.1° are merged.

Largest 7 diffraction maxima, sorted by position, 2θ from 15° to 90°:
33.74°, d 2.657, rel. 100
41.64°, d 2.169, rel. 10
48.46°, d 1.878, rel. 36
60.35°, d 1.534, rel. 36
70.96°, d 1.328, rel. 20
80.92°, d 1.188, rel. 15
85.78°, d 1.133, rel. 3

Atomic structure:
```
YNiO3
1.0
3.7569 0.0000 0.0000
0.0000 3.7569 0.0000
0.0000 0.0000 3.7569
Y Ni O
1 1 3
Direct
0.0000 0.0000 0.0000 Y
0.5000 0.5000 0.5000 Ni
0.0000 0.5000 0.5000 O
0.5000 0.0000 0.5000 O
0.5000 0.5000 0.0000 O
```


[9]
For YNi2O4, the PBE+U geometry in the Materials Project gives the theoretical PXRD pattern in this record (Cu Kα, 1.54184 Å).
Lines closer than 0.1° are merged.

Largest 12 diffraction maxima, sorted by position, 2θ from 15° to 90°:
17.70°, d 5.010, rel. 22
28.79°, d 3.101, rel. 33
32.92°, d 2.721, rel. 100
33.88°, d 2.646, rel. 63
34.13°, d 2.627, rel. 29
34.44°, d 2.604, rel. 49
34.63°, d 2.590, rel. 18
35.85°, d 2.505, rel. 18
40.42°, d 2.232, rel. 37
53.95°, d 1.700, rel. 23
56.83°, d 1.620, rel. 21
59.64°, d 1.550, rel. 69

Atomic structure:
```
YNi2O4
1.0
-3.0781 3.2401 4.3106
3.0781 -3.2401 4.3106
3.0781 3.2401 -4.3106
Y Ni O
2 4 8
Direct
0.0000 0.0000 0.0000 Y
0.5000 0.0000 0.5000 Y
0.0000 0.0000 0.5000 Ni
0.0000 0.5000 0.0000 Ni
0.3722 0.6222 0.7500 Ni
0.6278 0.3778 0.2500 Ni
0.2333 0.7375 0.4959 O
0.2408 0.2421 0.5013 O
0.2408 0.7396 0.9987 O
0.2584 0.2625 0.9959 O
0.7416 0.7375 0.0041 O
0.7592 0.2604 0.0013 O
0.7592 0.7579 0.4987 O
0.7667 0.2625 0.5041 O
```


[10]
For YNiO3, the PBE+U geometry in the Materials Project gives the theoretical PXRD pattern in this record (Cu Kα, 1.54184 Å).
Lines closer than 0.1° are merged.

Largest 12 diffraction maxima, sorted by position, 2θ from 15° to 90°:
26.17°, d 3.405, rel. 17
32.05°, d 2.792, rel. 19
33.47°, d 2.677, rel. 100
34.23°, d 2.620, rel. 35
47.58°, d 1.911, rel. 21
48.54°, d 1.876, rel. 16
49.20°, d 1.852, rel. 10
53.66°, d 1.708, rel. 14
59.36°, d 1.557, rel. 9
60.77°, d 1.524, rel. 34
70.33°, d 1.339, rel. 10
80.89°, d 1.188, rel. 8

Atomic structure:
```
YNiO3
1.0
5.5847 0.0000 0.0000
0.0000 7.5022 0.0000
0.0000 0.0000 5.2415
Y Ni O
4 4 12
Direct
0.0738 0.2500 0.0196 Y
0.4262 0.7500 0.5196 Y
0.5738 0.2500 0.4804 Y
0.9262 0.7500 0.9804 Y
0.0000 0.0000 0.5000 Ni
0.0000 0.5000 0.5000 Ni
0.5000 0.0000 0.0000 Ni
0.5000 0.5000 0.0000 Ni
0.0317 0.7500 0.3970 O
0.2012 0.5530 0.8089 O
0.2012 0.9470 0.8089 O
0.2988 0.0530 0.3089 O
0.2988 0.4470 0.3089 O
0.4683 0.2500 0.8970 O
0.5317 0.7500 0.1030 O
0.7012 0.5530 0.6911 O
0.7012 0.9470 0.6911 O
0.7988 0.0530 0.1911 O
0.7988 0.4470 0.1911 O
0.9683 0.2500 0.6030 O
```


[11]
For Y2Ni3O9, the PBE+U geometry in the Materials Project gives the theoretical PXRD pattern in this record (Cu Kα, 1.54184 Å).
Lines closer than 0.1° are merged.

Largest 12 diffraction maxima, sorted by position, 2θ from 15° to 90°:
16.23°, d 5.462, rel. 24
18.02°, d 4.922, rel. 9
21.61°, d 4.112, rel. 19
33.64°, d 2.664, rel. 24
34.02°, d 2.635, rel. 100
34.68°, d 2.587, rel. 24
48.68°, d 1.870, rel. 19
49.09°, d 1.856, rel. 29
60.44°, d 1.532, rel. 24
61.14°, d 1.516, rel. 12
61.74°, d 1.503, rel. 24
71.63°, d 1.317, rel. 14

Atomic structure:
```
Y2Ni3O9
1.0
15.9855 0.0000 0.0000
0.0000 7.4820 0.0000
0.0000 0.0000 5.1736
Y Ni O
8 12 36
Direct
0.0145 0.2500 0.0158 Y
0.1885 0.2500 0.4807 Y
0.3115 0.7500 0.9807 Y
0.4855 0.7500 0.5158 Y
0.5145 0.2500 0.4842 Y
0.6885 0.2500 0.0193 Y
0.8115 0.7500 0.5193 Y
0.9855 0.7500 0.9842 Y
0.0000 0.0000 0.5000 Ni
0.0000 0.5000 0.5000 Ni
0.1656 0.5021 0.9976 Ni
0.1656 0.9979 0.9976 Ni
0.3344 0.0021 0.4976 Ni
0.3344 0.4979 0.4976 Ni
0.5000 0.0000 0.0000 Ni
0.5000 0.5000 0.0000 Ni
0.6656 0.5021 0.5024 Ni
0.6656 0.9979 0.5024 Ni
0.8344 0.0021 0.0024 Ni
0.8344 0.4979 0.0024 Ni
0.0038 0.7500 0.4234 O
0.0629 0.5258 0.8137 O
0.0629 0.9742 0.8137 O
0.0952 0.0624 0.2900 O
0.0952 0.4376 0.2900 O
0.1578 0.2500 0.9047 O
0.1709 0.7500 0.0973 O
0.2346 0.5470 0.6966 O
0.2346 0.9530 0.6966 O
0.2654 0.0470 0.1966 O
0.2654 0.4530 0.1966 O
0.3291 0.2500 0.5973 O
0.3422 0.7500 0.4047 O
0.4048 0.5624 0.7900 O
0.4048 0.9376 0.7900 O
0.4371 0.0258 0.3137 O
0.4371 0.4742 0.3137 O
0.4962 0.2500 0.9234 O
0.5038 0.7500 0.0766 O
0.5629 0.5258 0.6863 O
0.5629 0.9742 0.6863 O
0.5952 0.0624 0.2100 O
0.5952 0.4376 0.2100 O
0.6578 0.2500 0.5953 O
0.6709 0.7500 0.4027 O
0.7346 0.5470 0.8034 O
0.7346 0.9530 0.8034 O
0.7654 0.0470 0.3034 O
0.7654 0.4530 0.3034 O
0.8291 0.2500 0.9027 O
0.8422 0.7500 0.0953 O
0.9048 0.5624 0.7100 O
0.9048 0.9376 0.7100 O
0.9371 0.0258 0.1863 O
0.9371 0.4742 0.1863 O
0.9962 0.2500 0.5766 O
```